Record 1
# Li3SmRh2
Computed XRD peak list, Cu Kα, 1.54184 Å. Input: DFT lattice parameters and positions (PBE).
Lines closer than 0.1° are merged.

abc: 6.9751 6.9751 8.2095
angles: 115.89 115.89 35.12
Sites, in units of the cell vectors:
Li (0.0579, 0.0579, 0.3820)
Li (0.2793, 0.2793, 0.4543)
Li (0.4207, 0.4207, 0.3203)
Li (0.5793, 0.5793, 0.6797)
Li (0.7207, 0.7207, 0.5457)
Li (0.9421, 0.9421, 0.6180)
Sm (0.1422, 0.1422, 0.0214)
Sm (0.8578, 0.8578, 0.9786)
Rh (0.2106, 0.2106, 0.7362)
Rh (0.4321, 0.4321, 0.8193)
Rh (0.5679, 0.5679, 0.1807)
Rh (0.7894, 0.7894, 0.2638)

Most intense lines, 15 to 90 degrees two-theta, low angle first:
2θ (°)  d/Å  Rel. int.
22.00  4.040  25
27.20  3.279  60
29.32  3.046  34
30.64  2.917  29
31.09  2.877  78
35.46  2.531  27
37.70  2.386  45
40.42  2.232  100
40.78  2.213  56
42.99  2.104  42
44.83  2.022  31
58.49  1.578  25

Record 2
# LiSm4Rh2
Computed XRD peak list, Cu Kα, 1.54184 Å. Input: DFT lattice parameters and positions (PBE).
Lines closer than 0.1° are merged.

abc: 6.8948 7.1346 8.4496
angles: 110.32 107.47 99.22
Sites, in units of the cell vectors:
Li (0.0000, 0.0000, 0.0000)
Li (0.1222, 0.8137, 0.6196)
Sm (0.0997, 0.2623, 0.7935)
Sm (0.2734, 0.5379, 0.2961)
Sm (0.3214, 0.0666, 0.3744)
Sm (0.3668, 0.7702, 0.9599)
Sm (0.6166, 0.1899, 0.8416)
Sm (0.7091, 0.5959, 0.6830)
Sm (0.7608, 0.6306, 0.2518)
Sm (0.8198, 0.1727, 0.3356)
Rh (0.2354, 0.4503, 0.5895)
Rh (0.4320, 0.2157, 0.1096)
Rh (0.6935, 0.9285, 0.5345)
Rh (0.9940, 0.6245, 0.0256)

Most intense lines, 15 to 90 degrees two-theta, low angle first:
2θ (°)  d/Å  Rel. int.
20.36  4.362  47
27.92  3.196  55
28.37  3.146  90
30.81  2.902  53
32.31  2.771  80
32.93  2.720  50
33.56  2.670  54
35.05  2.560  64
35.16  2.552  100
36.97  2.431  69
39.72  2.269  66
40.53  2.226  63

Record 3
# Li6SnRh2
Computed XRD peak list, Cu Kα, 1.54184 Å. Input: DFT lattice parameters and positions (PBE).
Lines closer than 0.1° are merged.

abc: 9.3271 9.3271 9.3271
angles: 27.39 27.39 27.39
Sites, in units of the cell vectors:
Li (0.0769, 0.0769, 0.0769)
Li (0.2140, 0.2140, 0.2140)
Li (0.3078, 0.3078, 0.3078)
Li (0.6922, 0.6922, 0.6922)
Li (0.7860, 0.7860, 0.7860)
Li (0.9231, 0.9231, 0.9231)
Sn (0.5000, 0.5000, 0.5000)
Rh (0.4057, 0.4057, 0.4057)
Rh (0.5943, 0.5943, 0.5943)

Most intense lines, 15 to 90 degrees two-theta, low angle first:
2θ (°)  d/Å  Rel. int.
23.49  3.787  100
24.19  3.679  40
29.88  2.991  12
40.86  2.208  37
41.00  2.201  31
43.93  2.061  25
47.67  1.908  15
51.44  1.777  16
58.67  1.574  13
64.55  1.444  12
74.47  1.274  17
88.13  1.108  13